# 1
K2PmBe2S4: calculated powder diffraction line list (CuKα), based on the GGA-PBE geometry in Alexandria.
Intensities are scaled so that the largest is 100.

Cell and atoms:
```
data_K2PmBe2S4
_chemical_formula_sum 'K2 Pm1 Be2 S4'
_cell_length_a 7.6936
_cell_length_b 7.6936
_cell_length_c 8.1584
_cell_angle_alpha 114.12
_cell_angle_beta 114.12
_cell_angle_gamma 27.80
_space_group_name_H-M_alt 'P 1'
_space_group_IT_number 1
loop_
_space_group_symop_operation_xyz
'x,y,z'
loop_
_atom_site_label
_atom_site_type_symbol
_atom_site_fract_x
_atom_site_fract_y
_atom_site_fract_z
_atom_site_occupancy
K1 K 0.1251 0.1251 0.0593 1
K2 K 0.8749 0.8749 0.9407 1
Pm1 Pm 0.0000 0.0000 0.5000 1
Be1 Be 0.3284 0.3284 0.5313 1
Be2 Be 0.6716 0.6716 0.4687 1
S1 S 0.2114 0.2114 0.6342 1
S2 S 0.4690 0.4690 0.7391 1
S3 S 0.5310 0.5310 0.2609 1
S4 S 0.7886 0.7886 0.3658 1
```

Principal peaks in the range 2θ = 10–80°, by angle:
2θ 12.0, rel. 81
2θ 13.1, rel. 70
2θ 22.0, rel. 29
2θ 25.0, rel. 35
2θ 26.5, rel. 25
2θ 30.3, rel. 24
2θ 32.9, rel. 100
2θ 33.4, rel. 42
2θ 38.8, rel. 51
2θ 41.3, rel. 27

# 2
KBe2PtSe: calculated powder diffraction line list (CuKα), based on the GGA-PBE geometry in Alexandria.
Intensities are scaled so that the largest is 100.

Cell and atoms:
```
data_KBe2PtSe
_chemical_formula_sum 'K1 Be2 Pt1 Se1'
_cell_length_a 4.3774
_cell_length_b 4.3774
_cell_length_c 5.6525
_cell_angle_alpha 90.00
_cell_angle_beta 90.00
_cell_angle_gamma 90.00
_space_group_name_H-M_alt 'P 1'
_space_group_IT_number 1
loop_
_space_group_symop_operation_xyz
'x,y,z'
loop_
_atom_site_label
_atom_site_type_symbol
_atom_site_fract_x
_atom_site_fract_y
_atom_site_fract_z
_atom_site_occupancy
K1 K 0.0000 0.0000 0.0000 1
Be1 Be 0.0000 0.5000 0.5000 1
Be2 Be 0.5000 0.0000 0.5000 1
Pt1 Pt 0.5000 0.5000 0.0000 1
Se1 Se 0.0000 0.0000 0.5000 1
```

Principal peaks in the range 2θ = 10–80°, by angle:
2θ 15.7, rel. 28
2θ 25.7, rel. 100
2θ 28.8, rel. 64
2θ 31.7, rel. 30
2θ 33.0, rel. 27
2θ 41.2, rel. 28
2θ 43.4, rel. 42
2θ 49.3, rel. 36
2θ 52.9, rel. 42
2θ 69.2, rel. 25

# 3
K4Pu3BeS8: calculated powder diffraction line list (CuKα), based on the GGA-PBE geometry in Alexandria.
Intensities are scaled so that the largest is 100.

Cell and atoms:
```
data_K4Pu3BeS8
_chemical_formula_sum 'K4 Pu3 Be1 S8'
_cell_length_a 8.1190
_cell_length_b 8.1190
_cell_length_c 8.6330
_cell_angle_alpha 117.65
_cell_angle_beta 117.65
_cell_angle_gamma 58.39
_space_group_name_H-M_alt 'P 1'
_space_group_IT_number 1
loop_
_space_group_symop_operation_xyz
'x,y,z'
loop_
_atom_site_label
_atom_site_type_symbol
_atom_site_fract_x
_atom_site_fract_y
_atom_site_fract_z
_atom_site_occupancy
K1 K 0.0000 0.0000 0.0000 1
K2 K 0.0000 0.5000 0.0000 1
K3 K 0.5000 0.0000 0.0000 1
K4 K 0.5000 0.5000 0.0000 1
Pu1 Pu 0.0000 0.0000 0.5000 1
Pu2 Pu 0.0000 0.5000 0.5000 1
Pu3 Pu 0.5000 0.0000 0.5000 1
Be1 Be 0.5000 0.5000 0.5000 1
S1 S 0.2333 0.2333 0.7039 1
S2 S 0.2500 0.2500 0.2876 1
S3 S 0.2635 0.7019 0.6763 1
S4 S 0.2981 0.7365 0.3237 1
S5 S 0.7019 0.2635 0.6763 1
S6 S 0.7365 0.2981 0.3237 1
S7 S 0.7500 0.7500 0.7124 1
S8 S 0.7667 0.7667 0.2961 1
```

Principal peaks in the range 2θ = 10–80°, by angle:
2θ 12.1, rel. 100
2θ 13.4, rel. 16
2θ 24.3, rel. 23
2θ 26.1, rel. 20
2θ 27.0, rel. 30
2θ 29.8, rel. 40
2θ 30.7, rel. 69
2θ 39.0, rel. 17
2θ 41.9, rel. 26
2θ 44.7, rel. 25

# 4
KRbBe2: calculated powder diffraction line list (CuKα), based on the GGA-PBE geometry in Alexandria.
Intensities are scaled so that the largest is 100.

Cell and atoms:
```
data_KRbBe2
_chemical_formula_sum 'K2 Rb2 Be4'
_cell_length_a 4.3149
_cell_length_b 7.5971
_cell_length_c 10.5138
_cell_angle_alpha 110.59
_cell_angle_beta 99.51
_cell_angle_gamma 93.32
_space_group_name_H-M_alt 'P 1'
_space_group_IT_number 1
loop_
_space_group_symop_operation_xyz
'x,y,z'
loop_
_atom_site_label
_atom_site_type_symbol
_atom_site_fract_x
_atom_site_fract_y
_atom_site_fract_z
_atom_site_occupancy
K1 K 0.0000 0.0000 0.0000 1
K2 K 0.4414 0.4299 0.8591 1
Rb1 Rb 0.2092 0.6760 0.3533 1
Rb2 Rb 0.7730 0.2470 0.4957 1
Be1 Be 0.2228 0.7251 0.6899 1
Be2 Be 0.4973 0.9652 0.6904 1
Be3 Be 0.7191 0.7219 0.6827 1
Be4 Be 0.9948 0.9615 0.6836 1
```

Principal peaks in the range 2θ = 10–80°, by angle:
2θ 18.1, rel. 34
2θ 18.4, rel. 30
2θ 23.5, rel. 65
2θ 24.8, rel. 46
2θ 25.1, rel. 56
2θ 25.9, rel. 100
2θ 26.2, rel. 38
2θ 30.0, rel. 28
2θ 34.6, rel. 27
2θ 38.3, rel. 17

# 5
K2BeRe: calculated powder diffraction line list (CuKα), based on the GGA-PBE geometry in Alexandria.
Intensities are scaled so that the largest is 100.

Cell and atoms:
```
data_K2BeRe
_chemical_formula_sum 'K2 Be1 Re1'
_cell_length_a 3.2406
_cell_length_b 3.2406
_cell_length_c 10.2128
_cell_angle_alpha 90.00
_cell_angle_beta 90.00
_cell_angle_gamma 90.00
_space_group_name_H-M_alt 'P 1'
_space_group_IT_number 1
loop_
_space_group_symop_operation_xyz
'x,y,z'
loop_
_atom_site_label
_atom_site_type_symbol
_atom_site_fract_x
_atom_site_fract_y
_atom_site_fract_z
_atom_site_occupancy
K1 K 0.0000 0.0000 0.0000 1
K2 K 0.5000 0.5000 0.4286 1
Be1 Be 0.5000 0.5000 0.7307 1
Re1 Re 0.0000 0.0000 0.6929 1
```

Principal peaks in the range 2θ = 10–80°, by angle:
2θ 17.4, rel. 34
2θ 26.2, rel. 54
2θ 27.5, rel. 52
2θ 28.9, rel. 100
2θ 32.7, rel. 78
2θ 38.3, rel. 63
2θ 39.3, rel. 47
2θ 40.3, rel. 36
2θ 47.9, rel. 41
2θ 53.8, rel. 28

# 6
K2BeRu: calculated powder diffraction line list (CuKα), based on the GGA-PBE geometry in Alexandria.
Intensities are scaled so that the largest is 100.

Cell and atoms:
```
data_K2BeRu
_chemical_formula_sum 'K2 Be1 Ru1'
_cell_length_a 3.2569
_cell_length_b 3.2693
_cell_length_c 10.1370
_cell_angle_alpha 90.00
_cell_angle_beta 98.75
_cell_angle_gamma 90.00
_space_group_name_H-M_alt 'P 1'
_space_group_IT_number 1
loop_
_space_group_symop_operation_xyz
'x,y,z'
loop_
_atom_site_label
_atom_site_type_symbol
_atom_site_fract_x
_atom_site_fract_y
_atom_site_fract_z
_atom_site_occupancy
K1 K 0.0000 0.0000 0.0000 1
K2 K 0.2607 0.5000 0.5631 1
Be1 Be 0.1295 0.0000 0.2901 1
Ru1 Ru 0.6219 0.5000 0.2731 1
```

Principal peaks in the range 2θ = 10–80°, by angle:
2θ 26.7, rel. 98
2θ 27.3, rel. 36
2θ 28.7, rel. 100
2θ 30.4, rel. 80
2θ 30.6, rel. 83
2θ 32.7, rel. 53
2θ 35.9, rel. 50
2θ 38.5, rel. 48
2θ 39.3, rel. 90
2θ 41.3, rel. 35

# 7
K3BeS3: calculated powder diffraction line list (CuKα), based on the GGA-PBE geometry in Alexandria.
Intensities are scaled so that the largest is 100.

Cell and atoms:
```
data_K3BeS3
_chemical_formula_sum 'K3 Be1 S3'
_cell_length_a 6.7953
_cell_length_b 6.7953
_cell_length_c 6.7953
_cell_angle_alpha 111.73
_cell_angle_beta 111.73
_cell_angle_gamma 111.73
_space_group_name_H-M_alt 'P 1'
_space_group_IT_number 1
loop_
_space_group_symop_operation_xyz
'x,y,z'
loop_
_atom_site_label
_atom_site_type_symbol
_atom_site_fract_x
_atom_site_fract_y
_atom_site_fract_z
_atom_site_occupancy
K1 K 0.0294 0.4853 0.4853 1
K2 K 0.4853 0.0294 0.4853 1
K3 K 0.4853 0.4853 0.0294 1
Be1 Be 0.8376 0.8376 0.8376 1
S1 S 0.6242 0.9337 0.9337 1
S2 S 0.9337 0.6242 0.9337 1
S3 S 0.9337 0.9337 0.6242 1
```

Principal peaks in the range 2θ = 10–80°, by angle:
2θ 17.4, rel. 25
2θ 23.5, rel. 38
2θ 27.5, rel. 100
2θ 31.2, rel. 34
2θ 31.8, rel. 28
2θ 35.2, rel. 53
2θ 36.5, rel. 32
2θ 38.7, rel. 27
2θ 40.0, rel. 34
2θ 52.0, rel. 22

# 8
K2Be2SeS2: calculated powder diffraction line list (CuKα), based on the GGA-PBE geometry in Alexandria.
Intensities are scaled so that the largest is 100.

Cell and atoms:
```
data_K2Be2SeS2
_chemical_formula_sum 'K2 Be2 Se1 S2'
_cell_length_a 3.5483
_cell_length_b 7.1704
_cell_length_c 7.2645
_cell_angle_alpha 79.97
_cell_angle_beta 75.91
_cell_angle_gamma 75.72
_space_group_name_H-M_alt 'P 1'
_space_group_IT_number 1
loop_
_space_group_symop_operation_xyz
'x,y,z'
loop_
_atom_site_label
_atom_site_type_symbol
_atom_site_fract_x
_atom_site_fract_y
_atom_site_fract_z
_atom_site_occupancy
K1 K 0.0033 0.2893 0.2041 1
K2 K 0.9967 0.7107 0.7959 1
Be1 Be 0.2994 0.2041 0.7008 1
Be2 Be 0.7006 0.7959 0.2992 1
Se1 Se 0.5000 0.0000 0.5000 1
S1 S 0.2992 0.6982 0.1995 1
S2 S 0.7008 0.3018 0.8005 1
```

Principal peaks in the range 2θ = 10–80°, by angle:
2θ 16.9, rel. 76
2θ 19.1, rel. 56
2θ 31.9, rel. 78
2θ 32.0, rel. 70
2θ 32.8, rel. 99
2θ 33.0, rel. 100
2θ 34.2, rel. 49
2θ 38.6, rel. 37
2θ 38.8, rel. 39
2θ 54.8, rel. 36

# 9
K4U3BeS8: calculated powder diffraction line list (CuKα), based on the GGA-PBE geometry in Alexandria.
Intensities are scaled so that the largest is 100.

Cell and atoms:
```
data_K4U3BeS8
_chemical_formula_sum 'K4 U3 Be1 S8'
_cell_length_a 7.9738
_cell_length_b 7.9738
_cell_length_c 8.7034
_cell_angle_alpha 117.29
_cell_angle_beta 117.29
_cell_angle_gamma 58.86
_space_group_name_H-M_alt 'P 1'
_space_group_IT_number 1
loop_
_space_group_symop_operation_xyz
'x,y,z'
loop_
_atom_site_label
_atom_site_type_symbol
_atom_site_fract_x
_atom_site_fract_y
_atom_site_fract_z
_atom_site_occupancy
K1 K 0.0000 0.0000 0.0000 1
K2 K 0.0000 0.5000 0.0000 1
K3 K 0.5000 0.0000 0.0000 1
K4 K 0.5000 0.5000 0.0000 1
U1 U 0.0000 0.0000 0.5000 1
U2 U 0.0000 0.5000 0.5000 1
U3 U 0.5000 0.0000 0.5000 1
Be1 Be 0.5000 0.5000 0.5000 1
S1 S 0.2343 0.2343 0.7082 1
S2 S 0.2574 0.2574 0.2894 1
S3 S 0.2620 0.7064 0.6810 1
S4 S 0.2936 0.7380 0.3190 1
S5 S 0.7064 0.2620 0.6810 1
S6 S 0.7380 0.2936 0.3190 1
S7 S 0.7426 0.7426 0.7106 1
S8 S 0.7657 0.7657 0.2918 1
```

Principal peaks in the range 2θ = 10–80°, by angle:
2θ 12.0, rel. 100
2θ 13.6, rel. 16
2θ 24.1, rel. 23
2θ 26.4, rel. 20
2θ 27.3, rel. 28
2θ 30.3, rel. 39
2θ 30.8, rel. 70
2θ 38.8, rel. 17
2θ 41.9, rel. 39
2θ 45.5, rel. 25

# 10
KBe4Sb: calculated powder diffraction line list (CuKα), based on the GGA-PBE geometry in Alexandria.
Intensities are scaled so that the largest is 100.

Cell and atoms:
```
data_KBe4Sb
_chemical_formula_sum 'K1 Be4 Sb1'
_cell_length_a 5.1253
_cell_length_b 5.1253
_cell_length_c 5.1253
_cell_angle_alpha 60.00
_cell_angle_beta 60.00
_cell_angle_gamma 60.00
_space_group_name_H-M_alt 'P 1'
_space_group_IT_number 1
loop_
_space_group_symop_operation_xyz
'x,y,z'
loop_
_atom_site_label
_atom_site_type_symbol
_atom_site_fract_x
_atom_site_fract_y
_atom_site_fract_z
_atom_site_occupancy
K1 K 0.0000 0.0000 0.0000 1
Be1 Be 0.3709 0.3709 0.3709 1
Be2 Be 0.3709 0.3709 0.8873 1
Be3 Be 0.3709 0.8873 0.3709 1
Be4 Be 0.8873 0.3709 0.3709 1
Sb1 Sb 0.7500 0.7500 0.7500 1
```

Principal peaks in the range 2θ = 10–80°, by angle:
2θ 21.2, rel. 100
2θ 24.6, rel. 26
2θ 35.0, rel. 83
2θ 41.3, rel. 76
2θ 55.2, rel. 23
2θ 56.8, rel. 10
2θ 62.8, rel. 28
2θ 67.1, rel. 23
2θ 74.0, rel. 11
2θ 78.0, rel. 16

# 11
K2Be2Se3: calculated powder diffraction line list (CuKα), based on the GGA-PBE geometry in Alexandria.
Intensities are scaled so that the largest is 100.

Cell and atoms:
```
data_K2Be2Se3
_chemical_formula_sum 'K8 Be8 Se12'
_cell_length_a 10.5273
_cell_length_b 10.5273
_cell_length_c 6.6241
_cell_angle_alpha 107.20
_cell_angle_beta 107.20
_cell_angle_gamma 80.68
_space_group_name_H-M_alt 'P 1'
_space_group_IT_number 1
loop_
_space_group_symop_operation_xyz
'x,y,z'
loop_
_atom_site_label
_atom_site_type_symbol
_atom_site_fract_x
_atom_site_fract_y
_atom_site_fract_z
_atom_site_occupancy
K1 K 0.0687 0.9313 0.7500 1
K2 K 0.2062 0.7938 0.2500 1
K3 K 0.3113 0.4872 0.4314 1
K4 K 0.4872 0.3113 0.9314 1
K5 K 0.5128 0.6887 0.0686 1
K6 K 0.6887 0.5128 0.5686 1
K7 K 0.7938 0.2062 0.7500 1
K8 K 0.9313 0.0687 0.2500 1
Be1 Be 0.0254 0.5743 0.7248 1
Be2 Be 0.1510 0.3091 0.8003 1
Be3 Be 0.3091 0.1510 0.3003 1
Be4 Be 0.4257 0.9746 0.7752 1
Be5 Be 0.5743 0.0254 0.2248 1
Be6 Be 0.6909 0.8490 0.6997 1
Be7 Be 0.8490 0.6909 0.1997 1
Be8 Be 0.9746 0.4257 0.2752 1
Se1 Se 0.0398 0.6399 0.4332 1
Se2 Se 0.1104 0.2566 0.0937 1
Se3 Se 0.2348 0.5125 0.9050 1
Se4 Se 0.2566 0.1104 0.5937 1
Se5 Se 0.3601 0.9602 0.0668 1
Se6 Se 0.4875 0.7652 0.5950 1
Se7 Se 0.5125 0.2348 0.4050 1
Se8 Se 0.6399 0.0398 0.9332 1
Se9 Se 0.7434 0.8896 0.4063 1
Se10 Se 0.7652 0.4875 0.0950 1
Se11 Se 0.8896 0.7434 0.9063 1
Se12 Se 0.9602 0.3601 0.5668 1
```

Principal peaks in the range 2θ = 10–80°, by angle:
2θ 26.5, rel. 100
2θ 26.9, rel. 38
2θ 28.5, rel. 43
2θ 29.9, rel. 79
2θ 30.0, rel. 49
2θ 30.2, rel. 64
2θ 30.9, rel. 73
2θ 34.3, rel. 53
2θ 34.6, rel. 55
2θ 35.9, rel. 78

# 12
KSrBeSe2: calculated powder diffraction line list (CuKα), based on the GGA-PBE geometry in Alexandria.
Intensities are scaled so that the largest is 100.

Cell and atoms:
```
data_KSrBeSe2
_chemical_formula_sum 'K2 Sr2 Be2 Se4'
_cell_length_a 7.6926
_cell_length_b 4.8507
_cell_length_c 8.9008
_cell_angle_alpha 90.00
_cell_angle_beta 101.59
_cell_angle_gamma 90.00
_space_group_name_H-M_alt 'P 1'
_space_group_IT_number 1
loop_
_space_group_symop_operation_xyz
'x,y,z'
loop_
_atom_site_label
_atom_site_type_symbol
_atom_site_fract_x
_atom_site_fract_y
_atom_site_fract_z
_atom_site_occupancy
K1 K 0.0000 0.2106 0.2500 1
K2 K 0.0000 0.7894 0.7500 1
Sr1 Sr 0.5000 0.4835 0.7500 1
Sr2 Sr 0.5000 0.5165 0.2500 1
Be1 Be 0.5000 0.0000 0.0000 1
Be2 Be 0.5000 0.0000 0.5000 1
Se1 Se 0.2696 0.2412 0.9658 1
Se2 Se 0.2696 0.7588 0.4658 1
Se3 Se 0.7304 0.2412 0.5342 1
Se4 Se 0.7304 0.7588 0.0342 1
```

Principal peaks in the range 2θ = 10–80°, by angle:
2θ 11.7, rel. 36
2θ 21.8, rel. 26
2θ 23.0, rel. 29
2θ 25.1, rel. 100
2θ 28.0, rel. 53
2θ 34.4, rel. 39
2θ 36.0, rel. 37
2θ 39.9, rel. 22
2θ 43.2, rel. 21
2θ 44.4, rel. 23

# 13
K4U3BeSe8: calculated powder diffraction line list (CuKα), based on the GGA-PBE geometry in Alexandria.
Intensities are scaled so that the largest is 100.

Cell and atoms:
```
data_K4U3BeSe8
_chemical_formula_sum 'K4 U3 Be1 Se8'
_cell_length_a 8.3317
_cell_length_b 8.3317
_cell_length_c 9.0725
_cell_angle_alpha 117.43
_cell_angle_beta 117.43
_cell_angle_gamma 59.30
_space_group_name_H-M_alt 'P 1'
_space_group_IT_number 1
loop_
_space_group_symop_operation_xyz
'x,y,z'
loop_
_atom_site_label
_atom_site_type_symbol
_atom_site_fract_x
_atom_site_fract_y
_atom_site_fract_z
_atom_site_occupancy
K1 K 0.0000 0.0000 0.0000 1
K2 K 0.0000 0.5000 0.0000 1
K3 K 0.5000 0.0000 0.0000 1
K4 K 0.5000 0.5000 0.0000 1
U1 U 0.0000 0.0000 0.5000 1
U2 U 0.0000 0.5000 0.5000 1
U3 U 0.5000 0.0000 0.5000 1
Be1 Be 0.5000 0.5000 0.5000 1
Se1 Se 0.2364 0.2364 0.7119 1
Se2 Se 0.2610 0.7111 0.6867 1
Se3 Se 0.2645 0.2645 0.2932 1
Se4 Se 0.2889 0.7390 0.3133 1
Se5 Se 0.7111 0.2610 0.6867 1
Se6 Se 0.7355 0.7355 0.7068 1
Se7 Se 0.7390 0.2889 0.3133 1
Se8 Se 0.7636 0.7636 0.2881 1
```

Principal peaks in the range 2θ = 10–80°, by angle:
2θ 11.5, rel. 100
2θ 29.1, rel. 49
2θ 29.4, rel. 89
2θ 37.1, rel. 23
2θ 40.0, rel. 14
2θ 40.1, rel. 31
2θ 43.4, rel. 33
2θ 43.9, rel. 15
2θ 45.1, rel. 15
2θ 53.6, rel. 16